Entry 1:
# BaCuC4O14
Computed powder XRD pattern, a wavelength of 1.5418 Å. Input: a structure optimized by DFT (PBE).
Peak positions follow from Bragg's law for the DFT cell and can differ from measured ones.

```
BaCuC4O14
1.0
6.4403 0.0000 0.0000
1.9721 8.9473 0.0000
2.0668 0.3389 10.5495
Ba Cu C O
2 2 8 28
Direct
0.1701 0.3883 0.2879
0.8299 0.6117 0.7121
0.0279 0.9403 0.2276
0.9721 0.0597 0.7724
0.1151 0.2700 0.6128
0.1889 0.1219 0.5417
0.2039 0.1458 0.0716
0.2508 0.0017 0.9959
0.7492 0.9983 0.0041
0.7961 0.8542 0.9284
0.8111 0.8781 0.4583
0.8849 0.7300 0.3872
0.0159 0.2612 0.7289
0.0971 0.1317 0.1876
0.1342 0.0077 0.6070
0.1419 0.3913 0.5573
0.1842 0.8898 0.0620
0.1986 0.5703 0.8310
0.2604 0.2635 0.0313
0.2624 0.6799 0.6367
0.2848 0.1221 0.4298
0.3266 0.6408 0.7471
0.3395 0.9948 0.8832
0.4053 0.8033 0.3239
0.4142 0.6687 0.3498
0.4313 0.5346 0.0414
0.5687 0.4654 0.9586
0.5858 0.3313 0.6502
0.5947 0.1967 0.6761
0.6605 0.0052 0.1168
0.6734 0.3592 0.2529
0.7152 0.8779 0.5702
0.7376 0.3201 0.3633
0.7396 0.7365 0.9687
0.8014 0.4297 0.1690
0.8158 0.1102 0.9380
0.8581 0.6087 0.4427
0.8658 0.9923 0.3930
0.9029 0.8683 0.8124
0.9841 0.7388 0.2711
```

Most intense lines, 10 to 80 degrees two-theta, low angle first:
2θ = 13.2°, intensity 49
2θ = 14.3°, intensity 100
2θ = 15.2°, intensity 58
2θ = 16.8°, intensity 71
2θ = 19.1°, intensity 38
2θ = 21.3°, intensity 91
2θ = 21.8°, intensity 35
2θ = 28.1°, intensity 35
2θ = 30.2°, intensity 40
2θ = 34.4°, intensity 53

Entry 2:
# ZrMnCu2S4
Computed powder XRD pattern, a wavelength of 1.5418 Å. Input: a structure optimized by DFT (PBE).
Peak positions follow from Bragg's law for the DFT cell and can differ from measured ones.

```
ZrMnCu2S4
1.0
4.7349 0.0000 0.0000
-0.0059 6.2148 0.0000
-2.3669 -2.7634 5.4124
Zr Mn Cu S
1 1 2 4
Direct
0.0000 0.0000 0.0000
0.7808 0.4143 0.5612
0.1969 0.5922 0.3888
0.6077 0.8882 0.2158
0.0130 0.6267 0.0267
0.2423 0.2837 0.4850
0.5231 0.1462 0.0462
0.7656 0.7953 0.5335
```

Most intense lines, 10 to 80 degrees two-theta, low angle first:
2θ = 16.4°, intensity 50
2θ = 16.9°, intensity 75
2θ = 20.5°, intensity 44
2θ = 27.8°, intensity 86
2θ = 29.4°, intensity 54
2θ = 35.1°, intensity 100
2θ = 38.0°, intensity 99
2θ = 45.9°, intensity 46
2θ = 46.1°, intensity 59
2θ = 48.0°, intensity 48